Starting from a crystal structure in Alexandria, relaxed with PBE, the XRD peak list of CoH was simulated for Cu Ka.
Lines closer than 0.1° are merged.

The 8 most intense peaks (10° ≤ 2θ ≤ 90°), sorted by position:
5.035 Å, 2θ = 17.61°, I 826, (1 1 0)
3.560 Å, 2θ = 25.01°, I 155, (2 0 0)
2.252 Å, 2θ = 40.04°, I 387, (1 3 0)
1.985 Å, 2θ = 45.72°, I 1000, (2 1 1)
1.975 Å, 2θ = 45.95°, I 123, (2 3 0)
1.780 Å, 2θ = 51.33°, I 163, (4 0 0)
1.678 Å, 2θ = 54.69°, I 114, (3 3 0)
1.173 Å, 2θ = 82.21°, I 115, (2 5 1)

Structural model:
```
data_CoH
_symmetry_space_group_name_H-M 'P 1'
_symmetry_Int_Tables_number 1
_cell_length_a 7.120
_cell_length_b 7.120
_cell_length_c 2.538
_cell_angle_alpha 90.00
_cell_angle_beta 90.00
_cell_angle_gamma 90.00
loop_
_symmetry_equiv_pos_as_xyz
'x,y,z'
loop_
_atom_site_label
_atom_site_fract_x
_atom_site_fract_y
_atom_site_fract_z
Co1 0.108 0.362 0.000
Co2 0.183 0.650 0.500
Co3 0.350 0.183 0.500
Co4 0.362 0.892 0.000
Co5 0.638 0.108 0.000
Co6 0.650 0.817 0.500
Co7 0.817 0.350 0.500
Co8 0.892 0.638 0.000
H1 0.122 0.796 0.000
H2 0.204 0.122 0.000
H3 0.270 0.417 0.500
H4 0.417 0.730 0.500
H5 0.583 0.270 0.500
H6 0.730 0.583 0.500
H7 0.796 0.878 0.000
H8 0.878 0.204 0.000
```